No. 1
For LiTl2CdS4, a cell relaxed with GGA-PBE gives the theoretical powder XRD pattern in this record (copper Kα).
No peak broadening, texture or thermal motion is included.

Atomic structure:
```
LiTl2CdS4
1.0
0.000 4.426 5.715
4.243 0.000 5.715
4.243 4.426 0.000
Li Tl Cd S
1 2 1 4
direct
0.000 0.000 0.000 Li
0.252 0.252 0.248 Tl
0.752 0.752 0.748 Tl
0.500 0.500 0.500 Cd
0.123 0.636 0.877 S
0.356 0.865 0.135 S
0.636 0.123 0.364 S
0.865 0.356 0.644 S
```

Largest 6 diffraction maxima, by intensity, 15° ≤ 2θ ≤ 90°:
d [Å]  I_rel
3.407  100
3.500  99
2.089  72
5.715  37
3.063  37
1.856  36

No. 2
For PtRhW2, a cell relaxed with GGA-PBE gives the theoretical powder XRD pattern in this record (copper Kα).
No peak broadening, texture or thermal motion is included.

Atomic structure:
```
PtRhW2
1.0
4.659 -1.403 0.000
4.659 1.403 0.000
-0.863 0.000 4.726
Pt Rh W
1 1 2
direct
0.000 0.000 0.000 Pt
0.500 0.500 0.500 Rh
0.249 0.249 0.747 W
0.751 0.751 0.253 W
```

Largest 6 diffraction maxima, by intensity, 15° ≤ 2θ ≤ 90°:
d [Å]  I_rel
2.283  100
1.984  66
2.292  51
2.273  49
1.962  32
1.197  26

No. 3
For Sc4CdPt5, a cell relaxed with GGA-PBE gives the theoretical powder XRD pattern in this record (copper Kα).
No peak broadening, texture or thermal motion is included.

Atomic structure:
```
Sc4CdPt5
1.0
3.276 0.000 0.000
0.000 3.276 0.000
0.000 0.000 16.750
Sc Cd Pt
4 1 5
direct
0.000 0.000 0.101 Sc
0.000 0.000 0.303 Sc
0.000 0.000 0.697 Sc
0.000 0.000 0.899 Sc
0.000 0.000 0.500 Cd
0.500 0.500 0.000 Pt
0.500 0.500 0.200 Pt
0.500 0.500 0.392 Pt
0.500 0.500 0.608 Pt
0.500 0.500 0.800 Pt
```

Largest 6 diffraction maxima, by intensity, 15° ≤ 2θ ≤ 90°:
d [Å]  I_rel
2.342  100
2.316  49
3.276  35
1.342  34
3.350  18
1.638  17

No. 4
For Pa3H5N, a cell relaxed with GGA-PBE gives the theoretical powder XRD pattern in this record (copper Kα).
No peak broadening, texture or thermal motion is included.

Atomic structure:
```
Pa3H5N
1.0
5.949 -2.664 0.000
5.949 2.664 0.000
-2.431 0.000 7.125
Pa H N
6 10 2
direct
0.000 0.000 0.000 Pa
0.000 0.000 0.500 Pa
0.327 0.346 0.667 Pa
0.346 0.327 0.167 Pa
0.654 0.673 0.833 Pa
0.673 0.654 0.333 Pa
0.083 0.583 0.919 H
0.084 0.582 0.411 H
0.251 0.749 0.250 H
0.417 0.917 0.581 H
0.418 0.916 0.089 H
0.582 0.084 0.911 H
0.583 0.083 0.419 H
0.749 0.251 0.750 H
0.916 0.418 0.589 H
0.917 0.417 0.081 H
0.253 0.747 0.750 N
0.747 0.253 0.250 N
```

Largest 6 diffraction maxima, by intensity, 15° ≤ 2θ ≤ 90°:
d [Å]  I_rel
3.071  100
2.666  32
1.607  23
1.884  20
1.878  20
2.649  16

No. 5
For BaSrH4Rh, a cell relaxed with GGA-PBE gives the theoretical powder XRD pattern in this record (copper Kα).
No peak broadening, texture or thermal motion is included.

Atomic structure:
```
BaSrH4Rh
1.0
2.709 -7.933 0.000
2.709 7.933 0.000
0.000 0.000 5.459
Ba Sr H Rh
2 2 8 2
direct
0.117 0.883 0.750 Ba
0.883 0.117 0.250 Ba
0.363 0.637 0.750 Sr
0.637 0.363 0.250 Sr
0.000 0.500 0.000 H
0.000 0.500 0.500 H
0.138 0.862 0.250 H
0.357 0.643 0.250 H
0.500 0.000 0.000 H
0.500 0.000 0.500 H
0.643 0.357 0.750 H
0.862 0.138 0.750 H
0.248 0.752 0.250 Rh
0.752 0.248 0.750 Rh
```

Largest 6 diffraction maxima, by intensity, 15° ≤ 2θ ≤ 90°:
d [Å]  I_rel
3.110  100
2.448  50
2.729  28
2.709  28
1.923  20
1.640  15

No. 6
For Rb2PbCl4, a cell relaxed with GGA-PBE gives the theoretical powder XRD pattern in this record (copper Kα).
No peak broadening, texture or thermal motion is included.

Atomic structure:
```
Rb2PbCl4
1.0
-2.841 2.841 8.411
2.841 -2.841 8.411
2.841 2.841 -8.411
Rb Pb Cl
2 1 4
direct
0.140 0.140 0.000 Rb
0.860 0.860 0.000 Rb
0.500 0.500 0.000 Pb
0.000 0.500 0.500 Cl
0.330 0.330 0.000 Cl
0.500 0.000 0.500 Cl
0.670 0.670 0.000 Cl
```

Largest 6 diffraction maxima, by intensity, 15° ≤ 2θ ≤ 90°:
d [Å]  I_rel
3.991  100
4.018  93
2.841  74
2.895  51
2.315  50
5.384  42

No. 7
For SiP2Se6, a cell relaxed with GGA-PBE gives the theoretical powder XRD pattern in this record (copper Kα).
No peak broadening, texture or thermal motion is included.

Atomic structure:
```
SiP2Se6
1.0
7.530 -5.946 0.000
7.530 5.946 0.000
-0.128 0.000 6.356
Si P Se
2 4 12
direct
0.182 0.818 0.750 Si
0.818 0.182 0.250 Si
0.254 0.389 0.770 P
0.389 0.254 0.270 P
0.611 0.746 0.730 P
0.746 0.611 0.230 P
0.009 0.872 0.999 Se
0.128 0.991 0.501 Se
0.136 0.604 0.623 Se
0.323 0.473 0.087 Se
0.396 0.864 0.877 Se
0.473 0.323 0.587 Se
0.527 0.677 0.413 Se
0.604 0.136 0.123 Se
0.677 0.527 0.913 Se
0.864 0.396 0.377 Se
0.872 0.009 0.499 Se
0.991 0.128 0.001 Se
```

Largest 6 diffraction maxima, by intensity, 15° ≤ 2θ ≤ 90°:
d [Å]  I_rel
3.290  100
2.780  77
4.624  77
2.907  56
2.807  54
3.764  43

No. 8
For In3Ag2, a cell relaxed with GGA-PBE gives the theoretical powder XRD pattern in this record (copper Kα).
No peak broadening, texture or thermal motion is included.

Atomic structure:
```
In3Ag2
1.0
1.616 -8.058 0.000
1.616 8.058 0.000
0.000 0.000 9.010
In Ag
6 4
direct
0.058 0.942 0.750 In
0.157 0.843 0.050 In
0.157 0.843 0.450 In
0.843 0.157 0.550 In
0.843 0.157 0.950 In
0.942 0.058 0.250 In
0.239 0.761 0.750 Ag
0.500 0.500 0.000 Ag
0.500 0.500 0.500 Ag
0.761 0.239 0.250 Ag
```

Largest 6 diffraction maxima, by intensity, 15° ≤ 2θ ≤ 90°:
d [Å]  I_rel
2.359  100
2.307  91
2.769  70
2.180  70
2.212  63
2.814  53

Repeat the second record exactly.
For PtRhW2, a cell relaxed with GGA-PBE gives the theoretical powder XRD pattern in this record (copper Kα).
No peak broadening, texture or thermal motion is included.

Atomic structure:
```
PtRhW2
1.0
4.659 -1.403 0.000
4.659 1.403 0.000
-0.863 0.000 4.726
Pt Rh W
1 1 2
direct
0.000 0.000 0.000 Pt
0.500 0.500 0.500 Rh
0.249 0.249 0.747 W
0.751 0.751 0.253 W
```

Largest 6 diffraction maxima, by intensity, 15° ≤ 2θ ≤ 90°:
d [Å]  I_rel
2.283  100
1.984  66
2.292  51
2.273  49
1.962  32
1.197  26